This entry pairs a crystal structure of Na7Zr4Si5PO24 with its simulated powder X-ray diffraction pattern. Radiation: Cu Kα, 1.54184 Å. Structure: a structure optimized by DFT (PBE).
Peak positions follow from Bragg's law for the DFT cell and can differ from measured ones.

Largest 8 diffraction maxima, by angle, 10 to 90 degrees two-theta:
2θ (°), I (rel.)
13.47, 27
18.93, 30
19.17, 100
27.13, 30
30.19, 36
30.41, 35
30.57, 26
33.60, 49

Cell and atoms:
a = 9.2210 Å, b = 9.2351 Å, c = 9.2632 Å
α = 60.91°, β = 60.29°, γ = 60.17°
Fractional coordinates of all 41 atoms:
Na 0.0000 0.0000 0.0000
Na 0.0878 0.6077 0.8437
Na 0.2838 0.4185 0.2146
Na 0.4335 0.9202 0.6739
Na 0.5344 0.3166 0.4303
Na 0.6470 0.7042 0.1799
Na 0.7988 0.1986 0.6513
Zr 0.1957 0.9501 0.4909
Zr 0.3915 0.1555 0.8712
Zr 0.6916 0.4583 0.9835
Zr 0.8875 0.6678 0.3728
Si 0.0923 0.2731 0.6662
Si 0.2931 0.7730 0.1675
Si 0.5064 0.5566 0.6684
Si 0.5766 0.0618 0.1891
Si 0.7891 0.8434 0.6926
P 0.9893 0.3458 0.1910
O 0.0229 0.1973 0.3588
O 0.0554 0.4339 0.4909
O 0.0956 0.0886 0.6742
O 0.1126 0.7442 0.2094
O 0.1433 0.3009 0.0246
O 0.2806 0.2403 0.6738
O 0.2845 0.8344 0.3111
O 0.3212 0.9306 0.9769
O 0.3238 0.7276 0.6607
O 0.4111 0.0373 0.3744
O 0.4581 0.5845 0.1665
O 0.4714 0.3804 0.7110
O 0.5217 0.0861 0.0326
O 0.5557 0.5388 0.8258
O 0.6061 0.2394 0.1534
O 0.6264 0.0324 0.6981
O 0.6727 0.5781 0.4837
O 0.7589 0.8897 0.1943
O 0.7657 0.6831 0.8808
O 0.7886 0.7901 0.5477
O 0.8088 0.3760 0.1897
O 0.9262 0.3133 0.8441
O 0.9706 0.8733 0.6430
O 0.9883 0.5219 0.1776